Diffraction record for Sr3Ge2N2. The powder X-ray diffraction pattern is theoretical, not measured: it uses a GGA-PBE-relaxed structure and Cu Kα.
Peak positions follow from Bragg's law for the DFT cell and can differ from measured ones.

The 10 most intense peaks (2θ = 10–80°), sorted by position:
d/Å	intensity
3.129	37
3.027	100
2.985	46
2.946	32
2.763	72
2.542	63
2.393	22
2.211	26
1.957	31
1.643	18

Crystal structure
```
Sr3Ge2N2
1.0
9.103 0.000 0.000
0.000 3.913 0.000
-3.720 0.000 8.954
Sr Ge N
6 4 4
Direct
0.019 0.250 0.170 Sr
0.182 0.750 0.557 Sr
0.381 0.750 0.147 Sr
0.619 0.250 0.853 Sr
0.818 0.250 0.443 Sr
0.981 0.750 0.830 Sr
0.259 0.250 0.849 Ge
0.414 0.250 0.443 Ge
0.586 0.750 0.557 Ge
0.741 0.750 0.151 Ge
0.070 0.250 0.674 N
0.185 0.250 0.008 N
0.815 0.750 0.992 N
0.930 0.750 0.326 N
```

***

Diffraction record for Sr6Ge5N2. The powder X-ray diffraction pattern is theoretical, not measured: it uses a GGA-PBE-relaxed structure and Cu Kα.
Peak positions follow from Bragg's law for the DFT cell and can differ from measured ones.

The 10 most intense peaks (2θ = 10–80°), sorted by position:
d/Å	intensity
3.159	85
3.056	38
3.014	100
2.879	74
2.867	48
2.699	75
2.521	71
2.335	50
2.027	59
1.682	44

Crystal structure
```
Sr6Ge5N2
1.0
4.055 0.000 0.000
0.000 18.089 0.000
0.000 0.000 9.169
Sr Ge N
12 10 4
Direct
0.250 0.066 0.115 Sr
0.250 0.250 0.758 Sr
0.250 0.434 0.115 Sr
0.250 0.610 0.536 Sr
0.250 0.750 0.840 Sr
0.250 0.890 0.536 Sr
0.750 0.110 0.464 Sr
0.750 0.250 0.160 Sr
0.750 0.390 0.464 Sr
0.750 0.566 0.885 Sr
0.750 0.750 0.242 Sr
0.750 0.934 0.885 Sr
0.250 0.055 0.737 Ge
0.250 0.250 0.420 Ge
0.250 0.445 0.737 Ge
0.250 0.620 0.144 Ge
0.250 0.880 0.144 Ge
0.750 0.120 0.856 Ge
0.750 0.380 0.856 Ge
0.750 0.555 0.263 Ge
0.750 0.750 0.580 Ge
0.750 0.945 0.263 Ge
0.250 0.167 0.293 N
0.250 0.333 0.293 N
0.750 0.667 0.707 N
0.750 0.833 0.707 N
```

***

Diffraction record for Sr2GeN2. The powder X-ray diffraction pattern is theoretical, not measured: it uses a GGA-PBE-relaxed structure and Cu Kα.
Peak positions follow from Bragg's law for the DFT cell and can differ from measured ones.

The 10 most intense peaks (2θ = 10–80°), sorted by position:
d/Å	intensity
3.148	43
3.036	62
2.791	100
2.732	88
2.603	87
2.256	33
1.883	20
1.740	30
1.553	24
1.470	17

Crystal structure
```
Sr2GeN2
1.0
2.732 -5.736 0.000
2.732 5.736 0.000
0.000 0.000 12.267
Sr Ge N
8 4 8
Direct
0.048 0.952 0.858 Sr
0.144 0.856 0.442 Sr
0.356 0.644 0.942 Sr
0.452 0.548 0.358 Sr
0.548 0.452 0.642 Sr
0.644 0.356 0.058 Sr
0.856 0.144 0.558 Sr
0.952 0.048 0.142 Sr
0.240 0.760 0.680 Ge
0.260 0.740 0.180 Ge
0.740 0.260 0.820 Ge
0.760 0.240 0.320 Ge
0.079 0.921 0.642 N
0.160 0.840 0.060 N
0.340 0.660 0.560 N
0.421 0.579 0.142 N
0.579 0.421 0.858 N
0.660 0.340 0.440 N
0.840 0.160 0.940 N
0.921 0.079 0.358 N
```